Diffraction record for Na4ZrAlSi2PO12. The powder diffraction line list is simulated, not measured: it uses the GGA-PBE geometry in the Materials Project and Cu Ka.
Peak positions follow from Bragg's law for the DFT cell and can differ from measured ones.

```
data_Na4ZrAlSi2PO12
_chemical_formula_sum 'Na16 Zr4 Al4 Si8 P4 O48'
_space_group_name_H-M_alt 'C 1 c 1'
_space_group_IT_number 9
_space_group_name_Hall 'C -2yc'
_cell_length_a 15.576
_cell_length_b 9.098
_cell_length_c 9.072
_cell_angle_alpha 90.00
_cell_angle_beta 125.60
_cell_angle_gamma 90.00
loop_
_atom_site_label
_atom_site_fract_x
_atom_site_fract_y
_atom_site_fract_z
Na1 0.000 0.059 0.000
Na2 0.066 0.246 0.740
Na3 0.135 0.428 0.501
Na4 0.314 0.119 0.988
Zr1 0.215 0.249 0.197
Al1 0.417 0.265 0.806
Si1 0.171 0.111 0.507
Si2 0.322 0.455 0.005
P1 0.464 0.099 0.509
O1 0.057 0.329 0.018
O2 0.068 0.191 0.481
O3 0.163 0.069 0.016
O4 0.170 0.127 0.326
O5 0.240 0.350 0.016
O6 0.242 0.445 0.325
O7 0.279 0.185 0.681
O8 0.368 0.173 0.336
O9 0.396 0.436 0.679
O10 0.401 0.352 0.984
O11 0.461 0.131 0.674
O12 0.466 0.068 0.987
```

Most intense lines, 2θ = 5–70°, low angle first:
13.8 deg, d 6.424, I 55; 19.6 deg, d 4.540, I 56; 19.7 deg, d 4.510, I 100; 24.1 deg, d 3.690, I 43; 31.2 deg, d 2.870, I 76; 31.2 deg, d 2.865, I 72; 31.5 deg, d 2.840, I 77; 34.3 deg, d 2.618, I 85; 34.6 deg, d 2.596, I 39; 47.0 deg, d 1.934, I 61